Theoretical PXRD pattern
Compound: PrAl2Ag2Pd
Radiation: λ = 1.5418 Å (Cu Kα)
Structure: a cell relaxed with GGA-PBE
Lines closer than 0.1° are merged.

Crystal structure
```
data_PrAl2Ag2Pd
_chemical_formula_sum 'Pr1 Al2 Ag2 Pd1'
_cell_length_a 4.732
_cell_length_b 4.732
_cell_length_c 5.892
_cell_angle_alpha 90.00
_cell_angle_beta 90.00
_cell_angle_gamma 90.00
_space_group_name_H-M_alt 'P 4/m m m'
_space_group_IT_number 123
_space_group_name_Hall '-P 4 2'
loop_
_atom_site_label
_atom_site_type_symbol
_atom_site_fract_x
_atom_site_fract_y
_atom_site_fract_z
Pr1 Pr 0.000 0.000 0.000
Al1 Al 0.000 0.500 0.500
Ag1 Ag 0.500 0.500 0.233
Pd1 Pd 0.000 0.000 0.500
```

Most intense lines, 10° ≤ 2θ ≤ 90°, in order of rising 2θ:
2θ = 26.64°, d = 3.346 Å, I 88.1, (1 1 0); 2θ = 35.91°, d = 2.501 Å, I 100.0, (1 0 2); 2θ = 38.03°, d = 2.366 Å, I 53.9, (2 0 0); 2θ = 53.30°, d = 1.719 Å, I 62.5, (2 1 2); 2θ = 54.88°, d = 1.673 Å, I 18.1, (2 2 0); 2θ = 62.02°, d = 1.496 Å, I 15.6, (3 1 0); 2θ = 67.34°, d = 1.390 Å, I 15.1, (3 0 2); 2θ = 69.76°, d = 1.348 Å, I 9.9, (1 1 4); 2θ = 76.12°, d = 1.250 Å, I 12.5, (2 0 4); 2θ = 80.05°, d = 1.199 Å, I 18.6, (3 2 2)